[1]
Computed powder XRD pattern
Compound: RbMg14Mn
Radiation: Cu Kα X-rays
Structure: a GGA-PBE-relaxed structure
No peak broadening, texture or thermal motion is included.

Structure:
Cell: 10.5106 6.5231 11.2780 Å, 90.00 90.00 90.00°
Space group Amm2 (No. 38)
Inequivalent atoms, fractional coordinates:
Rb: 0.0000 0.0000 0.0000 x2
Mg: 0.0000 0.2441 0.2522 x4
Mg: 0.2400 0.0000 0.6620 x4
Mg: 0.2601 0.2370 0.4131 x8
Mg: 0.2674 0.0000 0.1713 x4
Mg: 0.5000 0.0000 0.4996 x2
Mg: 0.5000 0.0000 0.9976 x2
Mg: 0.5000 0.2476 0.7488 x4
Mn: 0.0000 0.0000 0.4915 x2

Peak list (10 most intense, 2θ from 10° to 90°, in order of rising 2θ)
- hkl 1 0 2, 17.85°, 4.970 Å, rel. 96
- hkl 2 0 2, 23.13°, 3.845 Å, rel. 69
- hkl 0 2 2, 31.71°, 2.822 Å, rel. 263
- hkl 4 0 0, 34.12°, 2.628 Å, rel. 252
- hkl 2 0 4, 36.13°, 2.486 Å, rel. 1000
- hkl 4 2 2, 47.27°, 1.923 Å, rel. 163
- hkl 0 4 0, 56.48°, 1.629 Å, rel. 170
- hkl 6 0 4, 62.39°, 1.488 Å, rel. 176
- hkl 4 4 0, 67.66°, 1.385 Å, rel. 184
- hkl 2 4 4, 68.87°, 1.363 Å, rel. 91

[2]
Computed powder XRD pattern
Compound: RbMg6Mn
Radiation: Cu Kα X-rays
Structure: a GGA-PBE-relaxed structure
No peak broadening, texture or thermal motion is included.

Structure:
Cell: 5.2528 6.9145 11.5710 Å, 90.00 90.00 90.00°
Space group Amm2 (No. 38)
Inequivalent atoms, fractional coordinates:
Rb: 0.0000 0.0000 0.0000 x2
Mg: 0.0000 0.2457 0.7457 x4
Mg: 0.5000 0.0000 0.3352 x2
Mg: 0.5000 0.0000 0.8149 x2
Mg: 0.5000 0.2174 0.5830 x4
Mn: 0.0000 0.0000 0.5070 x2

Peak list (10 most intense, 2θ from 10° to 90°, in order of rising 2θ)
- hkl 0 0 2, 15.31°, 5.786 Å, rel. 207
- hkl 1 0 0, 16.88°, 5.253 Å, rel. 181
- hkl 1 0 2, 22.87°, 3.889 Å, rel. 196
- hkl 0 2 2, 30.11°, 2.968 Å, rel. 281
- hkl 0 0 4, 30.93°, 2.891 Å, rel. 239
- hkl 2 0 0, 34.14°, 2.626 Å, rel. 338
- hkl 1 2 2, 34.72°, 2.584 Å, rel. 1000
- hkl 1 0 4, 35.42°, 2.534 Å, rel. 431
- hkl 3 2 2, 61.49°, 1.508 Å, rel. 177
- hkl 2 2 6, 65.88°, 1.418 Å, rel. 168

[3]
Computed powder XRD pattern
Compound: RbMg6Mn
Radiation: Cu Kα X-rays
Structure: a GGA-PBE-relaxed structure
No peak broadening, texture or thermal motion is included.

Structure:
Cell: 5.0473 6.6194 12.1136 Å, 90.00 90.00 90.00°
Space group Amm2 (No. 38)
Inequivalent atoms, fractional coordinates:
Rb: 0.0000 0.0000 0.0000 x2
Mg: 0.0000 0.0000 0.5035 x2
Mg: 0.0000 0.2240 0.2405 x4
Mg: 0.5000 0.0000 0.6628 x2
Mg: 0.5000 0.2195 0.3897 x4
Mn: 0.5000 0.0000 0.2051 x2

Peak list (10 most intense, 2θ from 10° to 90°, in order of rising 2θ)
- hkl 0 1 1, 15.25°, 5.809 Å, rel. 248
- hkl 1 0 2, 22.94°, 3.877 Å, rel. 230
- hkl 1 1 1, 23.35°, 3.810 Å, rel. 190
- hkl 0 0 4, 29.50°, 3.028 Å, rel. 124
- hkl 0 2 2, 30.79°, 2.904 Å, rel. 155
- hkl 1 1 3, 31.43°, 2.847 Å, rel. 90
- hkl 1 0 4, 34.54°, 2.597 Å, rel. 301
- hkl 2 0 0, 35.64°, 2.519 Å, rel. 1000
- hkl 2 2 2, 47.74°, 1.905 Å, rel. 88
- hkl 3 2 2, 63.95°, 1.456 Å, rel. 125